Ba2AlTlV2O7: theoretical powder X-ray diffraction pattern (Cu Kα), based on a cell relaxed with PBE+U.
Lines closer than 0.1° are merged.

Peak list (10 most intense, 15° ≤ 2θ ≤ 90°, sorted by position)
| d (Å) | 2θ (°) | I_rel |
| --- | --- | --- |
| 4.101 | 21.67 | 21 |
| 3.861 | 23.04 | 17 |
| 3.722 | 23.91 | 25 |
| 3.412 | 26.12 | 23 |
| 3.281 | 27.18 | 41 |
| 3.208 | 27.81 | 41 |
| 2.941 | 30.39 | 100 |
| 2.587 | 34.67 | 37 |
| 1.946 | 46.68 | 22 |
| 1.937 | 46.91 | 18 |

Atomic structure:
```
data_Ba2AlTlV2O7
_chemical_formula_sum 'Ba2 Al1 Tl1 V2 O7'
_space_group_name_H-M_alt 'P 1 m 1'
_space_group_IT_number 6
_cell_length_a 3.9079
_cell_length_b 3.4853
_cell_length_c 16.4591
_cell_angle_alpha 90.00
_cell_angle_beta 94.68
_cell_angle_gamma 90.00
loop_
_space_group_symop_operation_xyz
'x,y,z'
'x,-y,z'
loop_
_atom_site_label
_atom_site_fract_x
_atom_site_fract_y
_atom_site_fract_z
_atom_site_occupancy
Ba1 0.0000 0.0000 0.0000 1
Ba2 0.4570 0.0000 0.5850 1
Al1 0.2640 0.0000 0.2933 1
Tl1 0.0195 0.5000 0.7862 1
V1 0.5581 0.5000 0.1440 1
V2 0.8050 0.5000 0.4082 1
O1 0.0313 0.5000 0.1353 1
O2 0.1069 0.5000 0.3150 1
O3 0.4953 0.5000 0.0242 1
O4 0.5280 0.0000 0.2123 1
O5 0.5672 0.0000 0.3868 1
O6 0.9527 0.5000 0.5161 1
O7 0.9953 0.0000 0.6885 1
```